Starting from a crystal structure in the Materials Project, relaxed with GGA-PBE, the XRD peak list of LaZnGa was simulated for Cu Kα (λ = 1.5418 Å).

Crystal structure
```
data_LaZnGa
_cell_length_a 4.5449
_cell_length_b 4.5449
_cell_length_c 7.8978
_cell_angle_alpha 90.00
_cell_angle_beta 90.00
_cell_angle_gamma 120.00
_space_group_name_H-M_alt 'P 63/m m c'
_space_group_IT_number 194
_space_group_name_Hall '-P 6c 2c'
loop_
_atom_site_label
_atom_site_fract_x
_atom_site_fract_y
_atom_site_fract_z
La1 0.0000 0.0000 0.0000
Zn1 0.3333 0.6667 0.2500
Ga1 0.3333 0.6667 0.7500
```

The 10 most intense peaks (5 to 70 degrees two-theta), in order of falling intensity:
d = 2.788 Å, 32.1 deg, intensity 100, (1 0 2); d = 2.272 Å, 39.7 deg, intensity 51, (1 1 0); d = 1.490 Å, 62.3 deg, intensity 26, (1 1 4); d = 1.761 Å, 51.9 deg, intensity 25, (2 0 2); d = 1.392 Å, 67.2 deg, intensity 24, (2 1 2); d = 3.936 Å, 22.6 deg, intensity 11, (1 0 0); d = 1.974 Å, 46.0 deg, intensity 11, (0 0 4); d = 1.765 Å, 51.8 deg, intensity 2, (1 0 4); d = 1.968 Å, 46.1 deg, intensity 2, (2 0 0); d = 1.488 Å, 62.4 deg, intensity 1, (2 1 0)

***

Starting from a crystal structure in the Materials Project, relaxed with GGA-PBE, the XRD peak list of LiGa3 was simulated for Cu Kα (λ = 1.5418 Å).

Crystal structure
```
data_LiGa3
_cell_length_a 4.0531
_cell_length_b 4.0531
_cell_length_c 8.3006
_cell_angle_alpha 90.00
_cell_angle_beta 90.00
_cell_angle_gamma 90.00
_space_group_name_H-M_alt 'I 4/m m m'
_space_group_IT_number 139
_space_group_name_Hall '-I 4 2'
loop_
_atom_site_label
_atom_site_fract_x
_atom_site_fract_y
_atom_site_fract_z
Li1 0.0000 0.0000 0.0000
Ga1 0.0000 0.0000 0.5000
Ga2 0.0000 0.5000 0.2500
```

The 10 most intense peaks (5 to 70 degrees two-theta), in order of falling intensity:
d = 2.358 Å, 38.2 deg, intensity 100, (1 1 2); d = 2.027 Å, 44.7 deg, intensity 32, (2 0 0); d = 3.642 Å, 24.4 deg, intensity 29, (1 0 1); d = 1.450 Å, 64.2 deg, intensity 21, (2 0 4); d = 2.075 Å, 43.6 deg, intensity 17, (0 0 4); d = 4.150 Å, 21.4 deg, intensity 10, (0 0 2); d = 1.433 Å, 65.1 deg, intensity 10, (2 2 0); d = 2.285 Å, 39.4 deg, intensity 8, (1 0 3); d = 2.866 Å, 31.2 deg, intensity 8, (1 1 0); d = 1.771 Å, 51.6 deg, intensity 8, (2 1 1)

***

Starting from a crystal structure in the Materials Project, relaxed with GGA-PBE, the XRD peak list of Li3Ga was simulated for Cu Kα (λ = 1.5418 Å).

Crystal structure
```
data_Li3Ga
_cell_length_a 6.3414
_cell_length_b 6.3414
_cell_length_c 6.3414
_cell_angle_alpha 90.00
_cell_angle_beta 90.00
_cell_angle_gamma 90.00
_space_group_name_H-M_alt 'F m -3 m'
_space_group_IT_number 225
_space_group_name_Hall '-F 4 2 3'
loop_
_atom_site_label
_atom_site_fract_x
_atom_site_fract_y
_atom_site_fract_z
Li1 0.0000 0.0000 0.0000
Li2 0.2500 0.2500 0.2500
Ga1 0.0000 0.0000 0.5000
```

The 8 most intense peaks (5 to 70 degrees two-theta), in order of falling intensity:
d = 3.661 Å, 24.3 deg, intensity 100, (1 1 1); d = 2.242 Å, 40.2 deg, intensity 67, (2 2 0); d = 3.171 Å, 28.1 deg, intensity 52, (2 0 0); d = 1.912 Å, 47.6 deg, intensity 48, (3 1 1); d = 1.455 Å, 64.0 deg, intensity 19, (3 3 1); d = 1.418 Å, 65.9 deg, intensity 18, (4 2 0); d = 1.831 Å, 49.8 deg, intensity 14, (2 2 2); d = 1.585 Å, 58.2 deg, intensity 11, (4 0 0)

***

Starting from a crystal structure in the Materials Project, relaxed with GGA-PBE, the XRD peak list of Li2Ga was simulated for Cu Kα (λ = 1.5418 Å).

Crystal structure
```
data_Li2Ga
_cell_length_a 4.5314
_cell_length_b 9.3842
_cell_length_c 4.3806
_cell_angle_alpha 90.00
_cell_angle_beta 90.00
_cell_angle_gamma 90.00
_space_group_name_H-M_alt 'C m c m'
_space_group_IT_number 63
_space_group_name_Hall '-C 2c 2'
loop_
_atom_site_label
_atom_site_fract_x
_atom_site_fract_y
_atom_site_fract_z
Li1 0.0000 0.0869 0.2500
Li2 0.0000 0.2582 0.7500
Ga1 0.0000 0.4214 0.2500
```

The 10 most intense peaks (5 to 70 degrees two-theta), in order of falling intensity:
d = 4.081 Å, 21.8 deg, intensity 100, (1 1 0); d = 2.219 Å, 40.7 deg, intensity 75, (1 3 1); d = 3.202 Å, 27.9 deg, intensity 47, (0 2 1); d = 4.692 Å, 18.9 deg, intensity 27, (0 2 0); d = 2.986 Å, 29.9 deg, intensity 26, (1 1 1); d = 1.930 Å, 47.1 deg, intensity 26, (1 1 2); d = 2.266 Å, 39.8 deg, intensity 20, (2 0 0); d = 1.850 Å, 49.3 deg, intensity 19, (2 2 1); d = 2.190 Å, 41.2 deg, intensity 18, (0 0 2); d = 2.068 Å, 43.8 deg, intensity 18, (0 4 1)

***

Starting from a crystal structure in the Materials Project, relaxed with GGA-PBE, the XRD peak list of Li3Ga was simulated for Cu Kα (λ = 1.5418 Å).

Crystal structure
```
data_Li3Ga
_cell_length_a 3.9054
_cell_length_b 3.9054
_cell_length_c 8.4816
_cell_angle_alpha 90.00
_cell_angle_beta 90.00
_cell_angle_gamma 90.00
_space_group_name_H-M_alt 'I 4/m m m'
_space_group_IT_number 139
_space_group_name_Hall '-I 4 2'
loop_
_atom_site_label
_atom_site_fract_x
_atom_site_fract_y
_atom_site_fract_z
Li1 0.0000 0.0000 0.0000
Li2 0.0000 0.5000 0.2500
Ga1 0.0000 0.0000 0.5000
```

The 10 most intense peaks (5 to 70 degrees two-theta), in order of falling intensity:
d = 3.547 Å, 25.1 deg, intensity 100, (1 0 1); d = 2.314 Å, 38.9 deg, intensity 53, (1 1 2); d = 4.241 Å, 20.9 deg, intensity 39, (0 0 2); d = 2.290 Å, 39.3 deg, intensity 31, (1 0 3); d = 2.762 Å, 32.4 deg, intensity 26, (1 1 0); d = 1.711 Å, 53.6 deg, intensity 24, (2 1 1); d = 1.953 Å, 46.5 deg, intensity 16, (2 0 0); d = 1.486 Å, 62.5 deg, intensity 15, (2 1 3); d = 1.774 Å, 51.5 deg, intensity 14, (2 0 2); d = 1.682 Å, 54.6 deg, intensity 11, (1 1 4)

***

Starting from a crystal structure in the Materials Project, relaxed with GGA-PBE, the XRD peak list of Li3Ga7 was simulated for Cu Kα (λ = 1.5418 Å).

Crystal structure
```
data_Li3Ga7
_cell_length_a 8.5733
_cell_length_b 8.5733
_cell_length_c 17.4430
_cell_angle_alpha 90.00
_cell_angle_beta 90.00
_cell_angle_gamma 120.00
_space_group_name_H-M_alt 'R -3 m'
_space_group_IT_number 166
_space_group_name_Hall '-R 3 2"'
loop_
_atom_site_label
_atom_site_fract_x
_atom_site_fract_y
_atom_site_fract_z
Li1 0.0597 0.5299 0.4111
Ga1 0.0000 0.0000 0.0759
Ga2 0.0169 0.5085 0.8045
Ga3 0.1051 0.2103 0.3854
```

The 10 most intense peaks (5 to 70 degrees two-theta), in order of falling intensity:
d = 3.631 Å, 24.5 deg, intensity 100, (0 2 1); d = 3.760 Å, 23.7 deg, intensity 68, (1 0 4); d = 2.187 Å, 41.3 deg, intensity 64, (1 2 5); d = 2.277 Å, 39.6 deg, intensity 43, (0 3 3); d = 2.069 Å, 43.8 deg, intensity 40, (0 2 7); d = 5.654 Å, 15.7 deg, intensity 40, (0 1 2); d = 1.880 Å, 48.4 deg, intensity 37, (2 0 8); d = 2.143 Å, 42.2 deg, intensity 36, (2 2 0); d = 2.004 Å, 45.2 deg, intensity 34, (3 1 2); d = 2.542 Å, 35.3 deg, intensity 31, (2 0 5)

***

Starting from a crystal structure in the Materials Project, relaxed with GGA-PBE, the XRD peak list of LiGa3 was simulated for Cu Kα (λ = 1.5418 Å).

Crystal structure
```
data_LiGa3
_cell_length_a 4.0715
_cell_length_b 4.0715
_cell_length_c 4.0715
_cell_angle_alpha 90.00
_cell_angle_beta 90.00
_cell_angle_gamma 90.00
_space_group_name_H-M_alt 'P m -3 m'
_space_group_IT_number 221
_space_group_name_Hall '-P 4 2 3'
loop_
_atom_site_label
_atom_site_fract_x
_atom_site_fract_y
_atom_site_fract_z
Li1 0.0000 0.0000 0.0000
Ga1 0.0000 0.5000 0.5000
```

The 8 most intense peaks (5 to 70 degrees two-theta), in order of falling intensity:
d = 2.351 Å, 38.3 deg, intensity 100, (1 1 1); d = 2.036 Å, 44.5 deg, intensity 49, (2 0 0); d = 1.440 Å, 64.8 deg, intensity 31, (2 2 0); d = 4.072 Å, 21.8 deg, intensity 29, (1 0 0); d = 2.879 Å, 31.1 deg, intensity 24, (1 1 0); d = 1.821 Å, 50.1 deg, intensity 12, (2 1 0); d = 1.662 Å, 55.3 deg, intensity 9, (2 1 1); d = 1.357 Å, 69.2 deg, intensity 6, (3 0 0)

***

Starting from a crystal structure in the Materials Project, relaxed with GGA-PBE, the XRD peak list of LiGa3 was simulated for Cu Kα (λ = 1.5418 Å).

Crystal structure
```
data_LiGa3
_cell_length_a 5.7215
_cell_length_b 5.7215
_cell_length_c 4.8700
_cell_angle_alpha 90.00
_cell_angle_beta 90.00
_cell_angle_gamma 120.00
_space_group_name_H-M_alt 'P 63/m m c'
_space_group_IT_number 194
_space_group_name_Hall '-P 6c 2c'
loop_
_atom_site_label
_atom_site_fract_x
_atom_site_fract_y
_atom_site_fract_z
Li1 0.3333 0.6667 0.2500
Ga1 0.1658 0.3317 0.7500
```

The 10 most intense peaks (5 to 70 degrees two-theta), in order of falling intensity:
d = 2.208 Å, 40.9 deg, intensity 100, (2 0 1); d = 3.473 Å, 25.6 deg, intensity 31, (1 0 1); d = 2.435 Å, 36.9 deg, intensity 30, (0 0 2); d = 2.477 Å, 36.3 deg, intensity 23, (2 0 0); d = 1.358 Å, 69.2 deg, intensity 20, (2 0 3); d = 1.430 Å, 65.2 deg, intensity 16, (2 2 0); d = 1.737 Å, 52.7 deg, intensity 16, (2 0 2); d = 4.955 Å, 17.9 deg, intensity 13, (1 0 0); d = 2.861 Å, 31.3 deg, intensity 13, (1 1 0); d = 1.748 Å, 52.3 deg, intensity 9, (2 1 1)

***

Starting from a crystal structure in the Materials Project, relaxed with GGA-PBE, the XRD peak list of Li5Ga4 was simulated for Cu Kα (λ = 1.5418 Å).

Crystal structure
```
data_Li5Ga4
_cell_length_a 4.3853
_cell_length_b 4.3853
_cell_length_c 8.3155
_cell_angle_alpha 90.00
_cell_angle_beta 90.00
_cell_angle_gamma 120.00
_space_group_name_H-M_alt 'P -3 m 1'
_space_group_IT_number 164
_space_group_name_Hall '-P 3 2"'
loop_
_atom_site_label
_atom_site_fract_x
_atom_site_fract_y
_atom_site_fract_z
Li1 0.0000 0.0000 0.0000
Li2 0.3333 0.6667 0.1130
Li3 0.3333 0.6667 0.4451
Ga1 0.0000 0.0000 0.3339
Ga2 0.3333 0.6667 0.7779
```

The 10 most intense peaks (5 to 70 degrees two-theta), in order of falling intensity:
d = 3.455 Å, 25.8 deg, intensity 100, (0 1 1); d = 2.239 Å, 40.3 deg, intensity 81, (0 1 3); d = 2.193 Å, 41.2 deg, intensity 73, (1 1 0); d = 4.158 Å, 21.4 deg, intensity 50, (0 0 2); d = 1.939 Å, 46.8 deg, intensity 37, (1 1 2); d = 1.567 Å, 59.0 deg, intensity 26, (2 0 3); d = 1.851 Å, 49.2 deg, intensity 17, (2 0 1); d = 1.824 Å, 50.0 deg, intensity 17, (1 0 4); d = 3.798 Å, 23.4 deg, intensity 15, (1 0 0); d = 1.415 Å, 66.1 deg, intensity 13, (1 2 1)

***

Starting from a crystal structure in the Materials Project, relaxed with GGA-PBE, the XRD peak list of LiGa was simulated for Cu Kα (λ = 1.5418 Å).

Crystal structure
Cell: 6.2584 6.2584 6.2584 Å, 90.00 90.00 90.00°
Space group Fd-3m (No. 227, origin choice 2)
Symmetry-distinct sites (fractional):
Li (0.1250, 0.1250, 0.1250) x8
Ga (0.1250, 0.1250, 0.6250) x8

The 5 most intense peaks (5 to 70 degrees two-theta), in order of falling intensity:
d = 2.213 Å, 40.8 deg, intensity 100, (2 2 0); d = 3.613 Å, 24.6 deg, intensity 96, (1 1 1); d = 1.887 Å, 48.2 deg, intensity 46, (3 1 1); d = 1.436 Å, 65.0 deg, intensity 18, (3 3 1); d = 1.565 Å, 59.0 deg, intensity 16, (4 0 0)

***

Starting from a crystal structure in the Materials Project, relaxed with GGA-PBE, the XRD peak list of LiLu2Ga was simulated for Cu Kα (λ = 1.5418 Å).

Crystal structure
```
data_LiLu2Ga
_cell_length_a 7.0474
_cell_length_b 7.0474
_cell_length_c 7.0474
_cell_angle_alpha 90.00
_cell_angle_beta 90.00
_cell_angle_gamma 90.00
_space_group_name_H-M_alt 'F m -3 m'
_space_group_IT_number 225
_space_group_name_Hall '-F 4 2 3'
loop_
_atom_site_label
_atom_site_fract_x
_atom_site_fract_y
_atom_site_fract_z
Li1 0.0000 0.0000 0.0000
Lu1 0.2500 0.2500 0.2500
Ga1 0.0000 0.0000 0.5000
```

The 10 most intense peaks (5 to 70 degrees two-theta), in order of falling intensity:
d = 2.492 Å, 36.0 deg, intensity 100, (2 2 0); d = 3.524 Å, 25.3 deg, intensity 49, (2 0 0); d = 1.439 Å, 64.8 deg, intensity 36, (4 2 2); d = 1.576 Å, 58.6 deg, intensity 20, (4 2 0); d = 1.762 Å, 51.9 deg, intensity 18, (4 0 0); d = 2.034 Å, 44.5 deg, intensity 15, (2 2 2); d = 4.069 Å, 21.8 deg, intensity 6, (1 1 1); d = 2.125 Å, 42.5 deg, intensity 3, (3 1 1); d = 1.617 Å, 57.0 deg, intensity 1, (3 3 1); d = 1.356 Å, 69.3 deg, intensity 1, (5 1 1)

***

Starting from a crystal structure in the Materials Project, relaxed with GGA-PBE, the XRD peak list of Li2MgGa was simulated for Cu Kα (λ = 1.5418 Å).

Crystal structure
```
data_Li2MgGa
_cell_length_a 6.5300
_cell_length_b 6.5300
_cell_length_c 6.5300
_cell_angle_alpha 90.00
_cell_angle_beta 90.00
_cell_angle_gamma 90.00
_space_group_name_H-M_alt 'F -4 3 m'
_space_group_IT_number 216
_space_group_name_Hall 'F -4 2 3'
loop_
_atom_site_label
_atom_site_fract_x
_atom_site_fract_y
_atom_site_fract_z
Li1 0.0000 0.0000 0.0000
Li2 0.2500 0.2500 0.2500
Mg1 0.2500 0.2500 0.7500
Ga1 0.0000 0.0000 0.5000
```

The 8 most intense peaks (5 to 70 degrees two-theta), in order of falling intensity:
d = 3.770 Å, 23.6 deg, intensity 100, (1 1 1); d = 2.309 Å, 39.0 deg, intensity 94, (2 2 0); d = 1.969 Å, 46.1 deg, intensity 49, (3 1 1); d = 3.265 Å, 27.3 deg, intensity 23, (2 0 0); d = 1.498 Å, 61.9 deg, intensity 20, (3 3 1); d = 1.633 Å, 56.4 deg, intensity 16, (4 0 0); d = 1.460 Å, 63.7 deg, intensity 8, (4 2 0); d = 1.885 Å, 48.3 deg, intensity 6, (2 2 2)

***

Starting from a crystal structure in the Materials Project, relaxed with GGA-PBE, the XRD peak list of LiMg6GaO8 was simulated for Cu Kα (λ = 1.5418 Å).

Crystal structure
```
data_LiMg6GaO8
_cell_length_a 4.2458
_cell_length_b 4.2458
_cell_length_c 8.4730
_cell_angle_alpha 90.00
_cell_angle_beta 90.00
_cell_angle_gamma 90.00
_space_group_name_H-M_alt 'P 4/m m m'
_space_group_IT_number 123
_space_group_name_Hall '-P 4 2'
loop_
_atom_site_label
_atom_site_fract_x
_atom_site_fract_y
_atom_site_fract_z
Li1 0.0000 0.0000 0.0000
Mg1 0.0000 0.5000 0.2386
Mg2 0.5000 0.5000 0.0000
Mg3 0.5000 0.5000 0.5000
Ga1 0.0000 0.0000 0.5000
O1 0.0000 0.0000 0.2731
O2 0.0000 0.5000 0.0000
O3 0.0000 0.5000 0.5000
O4 0.5000 0.5000 0.2535
```

The 10 most intense peaks (5 to 70 degrees two-theta), in order of falling intensity:
d = 2.121 Å, 42.6 deg, intensity 100, (2 0 0); d = 1.500 Å, 61.9 deg, intensity 56, (2 2 0); d = 8.473 Å, 10.4 deg, intensity 35, (0 0 1); d = 3.796 Å, 23.4 deg, intensity 27, (1 0 1); d = 2.829 Å, 31.6 deg, intensity 19, (1 1 1); d = 2.450 Å, 36.7 deg, intensity 17, (1 1 2); d = 1.853 Å, 49.2 deg, intensity 7, (2 1 1); d = 1.575 Å, 58.6 deg, intensity 6, (1 0 5); d = 2.059 Å, 44.0 deg, intensity 5, (2 0 1); d = 1.476 Å, 63.0 deg, intensity 5, (1 1 5)

***

Starting from a crystal structure in the Materials Project, relaxed with GGA-PBE, the XRD peak list of LiMg14GaO16 was simulated for Cu Kα (λ = 1.5418 Å).

Crystal structure
```
data_LiMg14GaO16
_cell_length_a 8.4985
_cell_length_b 8.4985
_cell_length_c 4.2451
_cell_angle_alpha 90.00
_cell_angle_beta 90.00
_cell_angle_gamma 90.00
_space_group_name_H-M_alt 'P 4/m m m'
_space_group_IT_number 123
_space_group_name_Hall '-P 4 2'
loop_
_atom_site_label
_atom_site_fract_x
_atom_site_fract_y
_atom_site_fract_z
Li1 0.0000 0.0000 0.0000
Mg1 0.0000 0.2425 0.5000
Mg2 0.0000 0.5000 0.0000
Mg3 0.2431 0.2431 0.0000
Mg4 0.2460 0.5000 0.5000
Ga1 0.5000 0.5000 0.0000
O1 0.0000 0.0000 0.5000
O2 0.0000 0.2602 0.0000
O3 0.0000 0.5000 0.5000
O4 0.2518 0.2518 0.5000
O5 0.2623 0.5000 0.0000
O6 0.5000 0.5000 0.5000
```

The 10 most intense peaks (5 to 70 degrees two-theta), in order of falling intensity:
d = 2.124 Å, 42.6 deg, intensity 100, (0 0 2); d = 1.502 Å, 61.8 deg, intensity 56, (4 0 2); d = 8.499 Å, 10.4 deg, intensity 18, (1 0 0); d = 3.799 Å, 23.4 deg, intensity 15, (2 1 0); d = 2.453 Å, 36.6 deg, intensity 13, (2 2 1); d = 2.832 Å, 31.6 deg, intensity 11, (2 1 1); d = 1.854 Å, 49.2 deg, intensity 4, (2 1 2); d = 1.479 Å, 62.8 deg, intensity 4, (5 2 1); d = 1.578 Å, 58.5 deg, intensity 3, (5 2 0); d = 2.060 Å, 43.9 deg, intensity 3, (4 1 0)